No. 1
# SrAgH2F8
Computed X-ray powder pattern, Cu Kα. Input: a GGA-PBE-relaxed structure.
Kinematic intensities with the Lorentz-polarization factor, no thermal factor.

Atomic structure:
a b c (Å): 4.5892 5.2086 7.5229
angles (deg): 98.99 92.39 108.36
Space group P-1 (No. 2)
One atom of each set of equivalent atoms:
Sr 0.0000 0.0000 0.0000 x1
Ag 0.0000 0.0000 0.5000 x1
H 0.3046 0.5311 0.8360 x2
F 0.1985 0.2157 0.3184 x2
F 0.2397 0.2817 0.7720 x2
F 0.2665 0.7761 0.4724 x2
F 0.3574 0.7277 0.9215 x2

Peak list (10 most intense, 10° ≤ 2θ ≤ 90°, low angle first)
two_theta, intensity
18.2, 100
20.5, 66
22.6, 69
24.1, 49
27.6, 43
31.8, 26
33.3, 37
36.8, 34
43.5, 31
46.4, 37

***

No. 2
# HfAg2F7
Computed X-ray powder pattern, Cu Kα. Input: a GGA-PBE-relaxed structure.
Kinematic intensities with the Lorentz-polarization factor, no thermal factor.

Atomic structure:
a b c (Å): 12.1685 6.5728 8.6827
angles (deg): 90.00 121.94 90.00
Space group C2/c (No. 15)
One atom of each set of equivalent atoms:
Hf 0.0000 0.1121 0.2500 x4
Ag 0.1770 0.4252 0.7702 x8
F 0.0000 0.4588 0.2500 x4
F 0.0811 0.1818 0.5132 x8
F 0.1282 0.1210 0.8636 x8
F 0.1624 0.2199 0.2481 x8

Peak list (10 most intense, 10° ≤ 2θ ≤ 90°, low angle first)
two_theta, intensity
24.2, 100
25.9, 47
27.9, 80
29.3, 55
29.8, 70
43.9, 25
44.8, 22
46.1, 28
47.2, 31
54.5, 23

***

No. 3
# Hf2AgF11
Computed X-ray powder pattern, Cu Kα. Input: a GGA-PBE-relaxed structure.
Kinematic intensities with the Lorentz-polarization factor, no thermal factor.

Atomic structure:
a b c (Å): 7.8483 10.2295 10.6072
angles (deg): 90.00 90.00 90.00
Space group Ibam (No. 72)
One atom of each set of equivalent atoms:
Hf 0.0780 0.1937 0.0000 x8
Ag 0.0000 0.5000 0.2500 x4
F 0.0000 0.0000 0.0000 x4
F 0.0176 0.3650 0.1192 x16
F 0.1737 0.1302 0.1553 x16
F 0.1854 0.2025 0.5000 x8

Peak list (10 most intense, 10° ≤ 2θ ≤ 90°, low angle first)
two_theta, intensity
16.7, 58
17.3, 24
22.0, 88
22.7, 43
24.2, 100
25.7, 89
28.5, 49
33.4, 28
44.8, 44
49.1, 40

***

No. 4
# HfAg3F8
Computed X-ray powder pattern, Cu Kα. Input: a GGA-PBE-relaxed structure.
Kinematic intensities with the Lorentz-polarization factor, no thermal factor.

Atomic structure:
a b c (Å): 5.5254 5.5254 5.5254
angles (deg): 90.00 90.00 90.00
Space group Pm-3m (No. 221)
One atom of each set of equivalent atoms:
Hf 0.0000 0.0000 0.0000 x1
Ag 0.0000 0.5000 0.5000 x3
F 0.2237 0.2237 0.2237 x8

Peak list (10 most intense, 10° ≤ 2θ ≤ 90°, low angle first)
two_theta, intensity
16.0, 8
28.0, 100
32.4, 25
46.5, 58
55.1, 43
57.8, 7
67.8, 8
74.9, 17
77.2, 11
86.2, 16